1.
For GeCl2, the PBE geometry in Alexandria gives the calculated powder diffractogram in this record (Cu Ka).
Neutral-atom scattering factors, no anomalous dispersion.

abc: 7.867 8.491 6.636
angles: 90.00 107.82 90.00
Atoms (fractional coordinates):
Ge 0.000 0.105 0.250
Ge 0.000 0.895 0.750
Ge 0.500 0.395 0.750
Ge 0.500 0.605 0.250
Cl 0.194 0.081 0.667
Cl 0.194 0.919 0.167
Cl 0.306 0.419 0.333
Cl 0.306 0.581 0.833
Cl 0.694 0.419 0.167
Cl 0.694 0.581 0.667
Cl 0.806 0.081 0.833
Cl 0.806 0.919 0.333

Most intense lines, 10° ≤ 2θ ≤ 80°, low angle first:
index, two_theta, Rel. int.
1 1 0, 15.78, 100
1 1 -1, 18.57, 27
0 2 0, 20.92, 13
0 0 2, 28.25, 22
2 2 -1, 31.76, 47
1 3 -1, 35.31, 13
1 1 2, 35.67, 28
2 2 1, 37.93, 14
4 0 -2, 48.30, 12
1 3 -3, 52.52, 11

---

2.
For GeCl4, the PBE geometry in Alexandria gives the calculated powder diffractogram in this record (Cu Ka).
Neutral-atom scattering factors, no anomalous dispersion.

abc: 6.093 6.093 10.542
angles: 90.00 90.00 90.00
Atoms (fractional coordinates):
Ge 0.000 0.000 0.000
Ge 0.500 0.500 0.500
Cl 0.202 0.202 0.117
Cl 0.202 0.798 0.883
Cl 0.298 0.298 0.617
Cl 0.298 0.702 0.383
Cl 0.702 0.298 0.383
Cl 0.702 0.702 0.617
Cl 0.798 0.202 0.883
Cl 0.798 0.798 0.117

Most intense lines, 10° ≤ 2θ ≤ 80°, low angle first:
index, two_theta, Rel. int.
1 0 1, 16.81, 100
1 1 0, 20.61, 17
1 1 2, 26.72, 56
2 1 1, 33.98, 19
2 2 0, 41.95, 27
2 0 4, 45.50, 24
3 1 2, 50.43, 9
3 2 1, 55.05, 19
3 0 5, 63.60, 13
5 0 1, 79.12, 8

---

3.
For GeHCl6, the PBE geometry in Alexandria gives the calculated powder diffractogram in this record (Cu Ka).
Neutral-atom scattering factors, no anomalous dispersion.

abc: 6.316 6.432 6.832
angles: 66.03 65.11 72.27
Atoms (fractional coordinates):
Ge 0.000 0.000 0.000
H 0.000 0.500 0.000
Cl 0.189 0.666 0.870
Cl 0.200 0.217 0.659
Cl 0.294 0.922 0.157
Cl 0.706 0.078 0.843
Cl 0.800 0.783 0.341
Cl 0.811 0.334 0.130

Most intense lines, 10° ≤ 2θ ≤ 80°, low angle first:
index, two_theta, Rel. int.
0 0 1, 15.10, 83
0 1 0, 15.28, 65
1 0 0, 15.67, 53
1 0 1, 17.69, 100
0 2 1, 29.64, 51
2 0 1, 30.04, 19
1 1 -1, 30.94, 39
2 1 2, 32.43, 26
0 2 2, 35.83, 35
1 3 0, 47.20, 20

---

4.
For GeH2Cl8, the PBE geometry in Alexandria gives the calculated powder diffractogram in this record (Cu Ka).
Neutral-atom scattering factors, no anomalous dispersion.

abc: 3.938 8.092 10.564
angles: 104.83 95.13 92.33
Atoms (fractional coordinates):
Ge 0.000 0.000 0.000
H 0.438 0.767 0.235
H 0.562 0.233 0.765
Cl 0.029 0.168 0.273
Cl 0.185 0.421 0.303
Cl 0.384 0.762 0.356
Cl 0.498 0.802 0.048
Cl 0.502 0.198 0.952
Cl 0.616 0.238 0.644
Cl 0.815 0.579 0.697
Cl 0.971 0.832 0.727

Most intense lines, 10° ≤ 2θ ≤ 80°, low angle first:
index, two_theta, Rel. int.
0 1 0, 11.34, 43
0 1 -1, 12.37, 100
0 1 1, 16.02, 33
1 1 -1, 25.81, 33
1 -1 1, 26.09, 81
0 0 3, 26.32, 84
0 1 3, 31.46, 53
1 2 0, 33.49, 28
1 0 -4, 40.31, 32
1 -1 4, 43.09, 29